# 1
This entry pairs a crystal structure of Ca3Ga2As4 with its calculated X-ray powder pattern. Radiation: Cu Kα (λ = 1.5418 Å). Structure: a crystal structure in Alexandria, relaxed with PBE.
Lines closer than 0.1° are merged.

Largest 8 diffraction maxima, in order of rising 2θ, 5 to 70 degrees two-theta:
2theta	I/Imax
25.09	25.4
26.99	69.5
27.10	53.1
35.47	100.0
38.62	75.6
42.98	51.2
45.53	29.6
49.82	27.2

Atomic structure:
Lattice parameters (Å, degrees): 6.607 15.835 4.209 90.00 90.00 90.00
Space group Pnnm (No. 58)
Inequivalent atoms, fractional coordinates:
Ca (0.000, 0.000, 0.000) (multiplicity 2)
Ca (0.213, 0.303, 0.500) (multiplicity 4)
Ga (0.134, 0.586, 0.000) (multiplicity 4)
As (0.239, 0.166, 0.000) (multiplicity 4)
As (0.241, 0.432, 0.000) (multiplicity 4)

***

# 2
This entry pairs a crystal structure of LiMg2Cr with its calculated X-ray powder pattern. Radiation: Cu Kα (λ = 1.5418 Å). Structure: a crystal structure in Alexandria, relaxed with PBE.
Lines closer than 0.1° are merged.

Largest 8 diffraction maxima, in order of rising 2θ, 5 to 70 degrees two-theta:
2theta	I/Imax
9.00	100.0
34.02	11.3
36.07	50.6
36.58	16.0
40.26	8.7
42.04	32.0
60.62	10.0
61.32	9.4

Atomic structure:
Lattice parameters (Å, degrees): 3.0549 3.0549 29.4761 90.00 90.00 120.00
Space group R-3m (No. 166, hexagonal axes)
Inequivalent atoms, fractional coordinates:
Li (0.0000, 0.0000, 0.0000) (multiplicity 3)
Mg (0.0000, 0.0000, 0.2477) (multiplicity 6)
Cr (0.0000, 0.0000, 0.5000) (multiplicity 3)

***

# 3
This entry pairs a crystal structure of Rb3Pd2I6 with its calculated X-ray powder pattern. Radiation: Cu Kα (λ = 1.5418 Å). Structure: a crystal structure in Alexandria, relaxed with PBE.
Lines closer than 0.1° are merged.

Largest 8 diffraction maxima, in order of rising 2θ, 5 to 70 degrees two-theta:
2theta	I/Imax
11.21	43.2
18.59	27.0
24.17	56.1
28.26	38.6
29.05	88.5
33.46	100.0
44.35	44.3
48.05	35.5

Atomic structure:
Lattice parameters (Å, degrees): 5.356 5.356 31.575 90.00 90.00 90.00
Space group I4/mmm (No. 139)
Inequivalent atoms, fractional coordinates:
Rb (0.000, 0.000, 0.000) (multiplicity 2)
Rb (0.000, 0.000, 0.182) (multiplicity 4)
Pd (0.000, 0.000, 0.394) (multiplicity 4)
I (0.000, 0.000, 0.301) (multiplicity 4)
I (0.000, 0.500, 0.083) (multiplicity 8)

***

# 4
This entry pairs a crystal structure of SrMg5Zn3 with its calculated X-ray powder pattern. Radiation: Cu Kα (λ = 1.5418 Å). Structure: a crystal structure in Alexandria, relaxed with PBE.
Lines closer than 0.1° are merged.

Largest 8 diffraction maxima, in order of rising 2θ, 5 to 70 degrees two-theta:
2theta	I/Imax
24.70	48.7
25.03	61.5
29.04	54.9
30.65	100.0
33.92	42.4
37.42	37.8
39.76	34.8
41.51	51.8

Atomic structure:
Lattice parameters (Å, degrees): 4.350 14.417 13.675 90.00 90.00 90.00
Space group Cmcm (No. 63)
Inequivalent atoms, fractional coordinates:
Sr (0.000, 0.163, 0.250) (multiplicity 4)
Mg (0.000, 0.000, 0.000) (multiplicity 4)
Mg (0.000, 0.199, 0.558) (multiplicity 8)
Mg (0.000, 0.438, 0.144) (multiplicity 8)
Zn (0.000, 0.135, 0.750) (multiplicity 4)
Zn (0.000, 0.386, 0.558) (multiplicity 8)

***

# 5
This entry pairs a crystal structure of VFe4Rh5 with its calculated X-ray powder pattern. Radiation: Cu Kα (λ = 1.5418 Å). Structure: a crystal structure in Alexandria, relaxed with PBE.
Lines closer than 0.1° are merged.

Largest 8 diffraction maxima, in order of rising 2θ, 5 to 70 degrees two-theta:
2theta	I/Imax
28.86	13.4
31.52	5.4
41.26	57.7
43.26	100.0
52.83	5.3
59.78	18.4
65.80	6.7
67.72	2.6

Atomic structure:
Lattice parameters (Å, degrees): 3.094 3.094 14.192 90.00 90.00 90.00
Space group P4/mmm (No. 123)
Inequivalent atoms, fractional coordinates:
V (0.000, 0.000, 0.000) (multiplicity 1)
Fe (0.000, 0.000, 0.200) (multiplicity 2)
Fe (0.000, 0.000, 0.397) (multiplicity 2)
Rh (0.500, 0.500, 0.098) (multiplicity 2)
Rh (0.500, 0.500, 0.298) (multiplicity 2)
Rh (0.500, 0.500, 0.500) (multiplicity 1)

***

# 6
This entry pairs a crystal structure of CsEu2 with its calculated X-ray powder pattern. Radiation: Cu Kα (λ = 1.5418 Å). Structure: a crystal structure in Alexandria, relaxed with PBE.
Lines closer than 0.1° are merged.

Largest 8 diffraction maxima, in order of rising 2θ, 5 to 70 degrees two-theta:
2theta	I/Imax
22.04	21.2
25.90	100.0
27.07	46.3
41.11	38.9
44.94	35.8
52.60	14.2
53.26	21.4
62.53	25.3

Atomic structure:
Lattice parameters (Å, degrees): 11.409 11.409 11.409 90.00 90.00 90.00
Space group Fd-3m (No. 227, origin choice 2)
Inequivalent atoms, fractional coordinates:
Cs (0.125, 0.125, 0.125) (multiplicity 8)
Eu (0.000, 0.000, 0.500) (multiplicity 16)

***

# 7
This entry pairs a crystal structure of PrErMg2Pd4 with its calculated X-ray powder pattern. Radiation: Cu Kα (λ = 1.5418 Å). Structure: a crystal structure in Alexandria, relaxed with PBE.
Lines closer than 0.1° are merged.

Largest 8 diffraction maxima, in order of rising 2θ, 5 to 70 degrees two-theta:
2theta	I/Imax
23.32	64.1
35.09	100.0
39.21	98.5
40.69	42.2
53.62	29.4
57.78	15.0
60.12	11.2
68.41	27.9

Atomic structure:
Lattice parameters (Å, degrees): 4.5952 4.5952 26.7058 90.00 90.00 120.00
Space group R-3m (No. 166, hexagonal axes)
Inequivalent atoms, fractional coordinates:
Pr (0.0000, 0.0000, 0.0000) (multiplicity 3)
Er (0.0000, 0.0000, 0.5000) (multiplicity 3)
Mg (0.0000, 0.0000, 0.2444) (multiplicity 6)
Pd (0.0000, 0.0000, 0.1187) (multiplicity 6)
Pd (0.0000, 0.0000, 0.3944) (multiplicity 6)

***

# 8
This entry pairs a crystal structure of Dy6Sc5 with its calculated X-ray powder pattern. Radiation: Cu Kα (λ = 1.5418 Å). Structure: a crystal structure in Alexandria, relaxed with PBE.
Lines closer than 0.1° are merged.

Largest 8 diffraction maxima, in order of rising 2θ, 5 to 70 degrees two-theta:
2theta	I/Imax
20.14	40.2
26.52	100.0
31.25	74.9
31.53	42.9
31.96	54.8
33.22	75.8
35.41	88.8
40.59	38.4

Atomic structure:
Lattice parameters (Å, degrees): 9.668 12.610 5.708 90.00 114.21 90.00
Space group C2/m (No. 12)
Inequivalent atoms, fractional coordinates:
Dy (0.187, 0.000, 0.124) (multiplicity 4)
Dy (0.189, 0.145, 0.634) (multiplicity 8)
Sc (0.000, 0.234, 0.000) (multiplicity 4)
Sc (0.000, 0.373, 0.500) (multiplicity 4)
Sc (0.000, 0.500, 0.000) (multiplicity 2)

***

# 9
This entry pairs a crystal structure of CsHgAs with its calculated X-ray powder pattern. Radiation: Cu Kα (λ = 1.5418 Å). Structure: a crystal structure in Alexandria, relaxed with PBE.
Lines closer than 0.1° are merged.

Largest 8 diffraction maxima, in order of rising 2θ, 5 to 70 degrees two-theta:
2theta	I/Imax
13.49	35.3
26.16	65.3
27.18	57.0
29.18	83.7
29.91	100.0
33.97	48.5
35.16	46.0
50.36	43.4

Atomic structure:
Lattice parameters (Å, degrees): 5.104 7.321 7.328 97.98 110.29 110.39
Space group P1 (No. 1)
Inequivalent atoms, fractional coordinates:
Cs (0.000, 0.000, 0.000) (multiplicity 1)
Cs (0.499, 0.406, 0.594) (multiplicity 1)
Hg (0.185, 0.819, 0.551) (multiplicity 1)
Hg (0.816, 0.450, 0.183) (multiplicity 1)
As (0.354, 0.613, 0.095) (multiplicity 1)
As (0.646, 0.906, 0.386) (multiplicity 1)

***

# 10
This entry pairs a crystal structure of Cr3Ir5 with its calculated X-ray powder pattern. Radiation: Cu Kα (λ = 1.5418 Å). Structure: a crystal structure in Alexandria, relaxed with PBE.
Lines closer than 0.1° are merged.

Largest 8 diffraction maxima, in order of rising 2θ, 5 to 70 degrees two-theta:
2theta	I/Imax
23.58	13.8
24.09	5.8
33.25	11.9
41.17	100.0
47.74	32.7
48.24	15.7
53.92	6.5
69.82	10.4

Atomic structure:
Lattice parameters (Å, degrees): 3.810 3.810 15.091 90.00 90.00 90.00
Space group I4mm (No. 107)
Inequivalent atoms, fractional coordinates:
Cr (0.000, 0.000, 0.000) (multiplicity 2)
Cr (0.000, 0.000, 0.248) (multiplicity 2)
Cr (0.000, 0.000, 0.497) (multiplicity 2)
Ir (0.000, 0.000, 0.749) (multiplicity 2)
Ir (0.000, 0.500, 0.121) (multiplicity 4)
Ir (0.000, 0.500, 0.377) (multiplicity 4)

***

# 11
This entry pairs a crystal structure of CuMo2Ru with its calculated X-ray powder pattern. Radiation: Cu Kα (λ = 1.5418 Å). Structure: a crystal structure in Alexandria, relaxed with PBE.
Lines closer than 0.1° are merged.

Largest 8 diffraction maxima, in order of rising 2θ, 5 to 70 degrees two-theta:
2theta	I/Imax
39.68	100.0
40.44	47.3
41.75	43.1
45.24	67.8
50.34	24.5
63.86	11.7
67.91	9.9
69.06	18.4

Atomic structure:
Lattice parameters (Å, degrees): 4.489 2.915 4.628 90.00 105.43 90.00
Space group P2/m (No. 10)
Inequivalent atoms, fractional coordinates:
Cu (0.000, 0.000, 0.000) (multiplicity 1)
Mo (0.000, 0.500, 0.500) (multiplicity 1)
Mo (0.500, 0.000, 0.500) (multiplicity 1)
Ru (0.500, 0.500, 0.000) (multiplicity 1)

***

# 12
This entry pairs a crystal structure of TaCrCo6 with its calculated X-ray powder pattern. Radiation: Cu Kα (λ = 1.5418 Å). Structure: a crystal structure in Alexandria, relaxed with PBE.
Lines closer than 0.1° are merged.

Largest 8 diffraction maxima, in order of rising 2θ, 5 to 70 degrees two-theta:
2theta	I/Imax
8.72	8.4
15.15	5.6
24.86	11.0
31.85	4.8
35.44	8.8
43.77	100.0
50.99	46.7
57.53	4.7

Atomic structure:
Lattice parameters (Å, degrees): 7.160 10.134 10.135 90.00 90.00 90.00
Space group Cmmm (No. 65)
Inequivalent atoms, fractional coordinates:
Ta (0.000, 0.000, 0.250) (multiplicity 4)
Ta (0.000, 0.246, 0.000) (multiplicity 4)
Cr (0.000, 0.246, 0.500) (multiplicity 4)
Cr (0.000, 0.500, 0.250) (multiplicity 4)
Co (0.000, 0.000, 0.000) (multiplicity 2)
Co (0.000, 0.000, 0.500) (multiplicity 2)
Co (0.000, 0.255, 0.259) (multiplicity 8)
Co (0.000, 0.500, 0.000) (multiplicity 2)
Co (0.000, 0.500, 0.500) (multiplicity 2)
Co (0.242, 0.377, 0.130) (multiplicity 16)
Co (0.244, 0.372, 0.380) (multiplicity 16)

***

# 13
This entry pairs a crystal structure of MgAs2PbO8 with its calculated X-ray powder pattern. Radiation: Cu Kα (λ = 1.5418 Å). Structure: a crystal structure in Alexandria, relaxed with PBE.
Lines closer than 0.1° are merged.

Largest 8 diffraction maxima, in order of rising 2θ, 5 to 70 degrees two-theta:
2theta	I/Imax
14.10	100.0
18.56	59.6
23.38	99.4
32.43	94.9
34.16	76.2
35.52	76.6
47.82	48.0
58.97	36.2

Atomic structure:
Lattice parameters (Å, degrees): 5.5214 5.5214 6.2799 90.00 90.00 120.00
Space group P-3m1 (No. 164)
Inequivalent atoms, fractional coordinates:
Mg (0.0000, 0.0000, 0.0000) (multiplicity 1)
As (0.3333, 0.6667, 0.3176) (multiplicity 2)
Pb (0.0000, 0.0000, 0.5000) (multiplicity 1)
O (0.1610, 0.3220, 0.2261) (multiplicity 6)
O (0.3333, 0.6667, 0.5826) (multiplicity 2)